Entry 1:
This entry pairs a crystal structure of Os3F with its theoretical powder X-ray diffraction pattern. Radiation: Cu Kα (weighted mean of Kα1 and Kα2). Structure: DFT lattice parameters and positions (PBE).
Neutral-atom scattering factors, no anomalous dispersion.

Structural model:
Cell lengths 6.0104, 6.0104, 6.0104 Å; angles 90.00, 90.00, 90.00 degrees
Positions (direct):
Os: 0.0000 0.0000 0.0000
Os: 0.0000 0.5000 0.5000
Os: 0.2500 0.2500 0.2500
Os: 0.2500 0.2500 0.7500
Os: 0.2500 0.7500 0.2500
Os: 0.2500 0.7500 0.7500
Os: 0.5000 0.0000 0.5000
Os: 0.5000 0.5000 0.0000
Os: 0.7500 0.2500 0.2500
Os: 0.7500 0.2500 0.7500
Os: 0.7500 0.7500 0.2500
Os: 0.7500 0.7500 0.7500
F: 0.0000 0.0000 0.5000
F: 0.0000 0.5000 0.0000
F: 0.5000 0.0000 0.0000
F: 0.5000 0.5000 0.5000

Principal peaks in the range 10° ≤ 2θ ≤ 90°, low angle first:
| two_theta | d [Å] | I/Imax |
| --- | --- | --- |
| 25.7 | 3.470 | 21 |
| 29.7 | 3.005 | 11 |
| 42.5 | 2.125 | 100 |
| 50.4 | 1.812 | 11 |
| 52.8 | 1.735 | 3 |
| 61.7 | 1.503 | 17 |
| 68.0 | 1.379 | 4 |
| 70.0 | 1.344 | 4 |
| 77.9 | 1.227 | 34 |
| 83.6 | 1.157 | 4 |

---

Entry 2:
This entry pairs a crystal structure of CdH8C2Br3N with its theoretical powder X-ray diffraction pattern. Radiation: Cu Kα (weighted mean of Kα1 and Kα2). Structure: DFT lattice parameters and positions (PBE).
Neutral-atom scattering factors, no anomalous dispersion.

Structural model:
Cell lengths 9.1363, 14.0238, 7.0739 Å; angles 90.00, 97.25, 90.00 degrees
Positions (direct):
Cd: 0.2172 0.2461 0.0224
Cd: 0.2172 0.2539 0.5224
Cd: 0.7828 0.7461 0.4776
Cd: 0.7828 0.7539 0.9776
H: 0.1270 0.5855 0.0902
H: 0.1270 0.9145 0.5902
H: 0.1411 0.6501 0.3931
H: 0.1411 0.8499 0.8931
H: 0.1427 0.5244 0.4441
H: 0.1427 0.9756 0.9441
H: 0.2222 0.0117 0.6624
H: 0.2222 0.4883 0.1624
H: 0.3122 0.5908 0.4635
H: 0.3122 0.9092 0.9635
H: 0.3421 0.6830 0.1233
H: 0.3421 0.8170 0.6233
H: 0.3670 0.5807 0.9749
H: 0.3670 0.9193 0.4749
H: 0.4483 0.5833 0.2195
H: 0.4483 0.9167 0.7195
H: 0.5517 0.0833 0.2805
H: 0.5517 0.4167 0.7805
H: 0.6330 0.0807 0.5251
H: 0.6330 0.4193 0.0251
H: 0.6579 0.1830 0.3767
H: 0.6579 0.3170 0.8767
H: 0.6878 0.0908 0.0365
H: 0.6878 0.4092 0.5365
H: 0.7778 0.5117 0.8376
H: 0.7778 0.9883 0.3376
H: 0.8573 0.0244 0.0559
H: 0.8573 0.4756 0.5559
H: 0.8589 0.1501 0.1069
H: 0.8589 0.3499 0.6069
H: 0.8730 0.0855 0.4098
H: 0.8730 0.4145 0.9098
C: 0.2017 0.5832 0.3850
C: 0.2017 0.9168 0.8850
C: 0.3536 0.6053 0.1189
C: 0.3536 0.8947 0.6189
C: 0.6464 0.1053 0.3811
C: 0.6464 0.3947 0.8811
C: 0.7983 0.0832 0.1150
C: 0.7983 0.4168 0.6150
Br: 0.9999 0.1678 0.7195
Br: 0.9999 0.3322 0.2195
Br: 0.0001 0.6678 0.7805
Br: 0.0001 0.8322 0.2805
Br: 0.2105 0.0953 0.2799
Br: 0.2105 0.4047 0.7799
Br: 0.4168 0.1609 0.8073
Br: 0.4168 0.3391 0.3073
Br: 0.5832 0.6609 0.6927
Br: 0.5832 0.8391 0.1927
Br: 0.7895 0.5953 0.2201
Br: 0.7895 0.9047 0.7201
N: 0.2180 0.5615 0.1804
N: 0.2180 0.9385 0.6804
N: 0.7820 0.0615 0.3196
N: 0.7820 0.4385 0.8196

Principal peaks in the range 10° ≤ 2θ ≤ 90°, low angle first:
| two_theta | d [Å] | I/Imax |
| --- | --- | --- |
| 11.6 | 7.612 | 100 |
| 12.6 | 7.012 | 27 |
| 25.4 | 3.506 | 17 |
| 27.8 | 3.206 | 24 |
| 28.5 | 3.136 | 22 |
| 32.4 | 2.760 | 10 |
| 34.4 | 2.607 | 11 |
| 36.2 | 2.480 | 15 |
| 36.7 | 2.452 | 16 |
| 39.0 | 2.310 | 8 |
| 41.6 | 2.169 | 9 |
| 43.6 | 2.077 | 13 |

---

Entry 3:
This entry pairs a crystal structure of Sm2CdSe4 with its theoretical powder X-ray diffraction pattern. Radiation: Cu Kα (weighted mean of Kα1 and Kα2). Structure: DFT lattice parameters and positions (PBE).
Neutral-atom scattering factors, no anomalous dispersion.

Structural model:
Cell lengths 7.7140, 7.7140, 7.7140 Å; angles 110.68, 110.68, 107.09 degrees
Positions (direct):
Sm: 0.0103 0.1250 0.3853
Sm: 0.3750 0.9897 0.1147
Sm: 0.7397 0.6250 0.6147
Sm: 0.8750 0.2603 0.8853
Cd: 0.2500 0.7500 0.5000
Cd: 0.5000 0.5000 0.0000
Se: 0.0057 0.7445 0.1241
Se: 0.1184 0.9943 0.7389
Se: 0.1295 0.5055 0.7611
Se: 0.2555 0.3795 0.2611
Se: 0.4945 0.2557 0.6241
Se: 0.6205 0.8816 0.8759
Se: 0.6316 0.8705 0.3759
Se: 0.7443 0.3684 0.2389

Principal peaks in the range 10° ≤ 2θ ≤ 90°, low angle first:
| two_theta | d [Å] | I/Imax |
| --- | --- | --- |
| 24.1 | 3.687 | 31 |
| 24.7 | 3.607 | 43 |
| 31.0 | 2.886 | 91 |
| 32.1 | 2.786 | 92 |
| 32.3 | 2.775 | 100 |
| 37.3 | 2.411 | 65 |
| 37.9 | 2.374 | 46 |
| 38.3 | 2.352 | 45 |
| 44.6 | 2.031 | 24 |
| 47.8 | 1.904 | 37 |
| 51.7 | 1.767 | 23 |
| 53.1 | 1.723 | 29 |

---

Entry 4:
This entry pairs a crystal structure of YMg2 with its theoretical powder X-ray diffraction pattern. Radiation: Cu Kα (weighted mean of Kα1 and Kα2). Structure: DFT lattice parameters and positions (PBE).
Neutral-atom scattering factors, no anomalous dispersion.

Structural model:
Cell lengths 3.4864, 16.9084, 5.4768 Å; angles 90.00, 90.00, 90.00 degrees
Positions (direct):
Y: 0.0000 0.2238 0.2500
Y: 0.0000 0.7762 0.7500
Y: 0.5000 0.2762 0.7500
Y: 0.5000 0.7238 0.2500
Mg: 0.0000 0.1061 0.7500
Mg: 0.0000 0.4469 0.7500
Mg: 0.0000 0.5531 0.2500
Mg: 0.0000 0.8939 0.2500
Mg: 0.5000 0.0531 0.2500
Mg: 0.5000 0.3939 0.2500
Mg: 0.5000 0.6061 0.7500
Mg: 0.5000 0.9469 0.7500

Principal peaks in the range 10° ≤ 2θ ≤ 90°, low angle first:
| two_theta | d [Å] | I/Imax |
| --- | --- | --- |
| 10.5 | 8.454 | 85 |
| 21.0 | 4.227 | 15 |
| 30.1 | 2.965 | 19 |
| 30.9 | 2.898 | 33 |
| 32.7 | 2.738 | 33 |
| 34.4 | 2.607 | 100 |
| 35.8 | 2.506 | 36 |
| 45.1 | 2.012 | 12 |
| 55.6 | 1.654 | 14 |
| 59.5 | 1.555 | 18 |
| 65.2 | 1.431 | 12 |
| 66.0 | 1.416 | 16 |